[1]
ZnInHg: computed powder X-ray diffraction pattern (copper Kα), based on a structure optimized by DFT (GGA-PBE).
Intensities are scaled so that the largest is 1000.

Main lines, in order of rising 2θ (10° ≤ 2θ ≤ 80°):
index, d (Å), 2θ/deg, I_rel
1 0 0, 4.032, 22.05, 196
0 0 1, 3.777, 23.55, 58
0 1 1, 2.756, 32.48, 1000
1 1 0, 2.328, 38.68, 577
1 1 1, 1.982, 45.79, 65
2 0 1, 1.778, 51.38, 275
1 0 2, 1.710, 53.59, 175
1 1 2, 1.467, 63.43, 106
1 2 1, 1.413, 66.12, 257
0 2 2, 1.378, 68.02, 85
3 0 0, 1.344, 70.01, 99
0 1 3, 1.202, 79.80, 62

Crystal structure
```
data_ZnInHg
_chemical_formula_sum 'Zn1 In1 Hg1'
_space_group_name_H-M_alt 'P 3 m 1'
_space_group_IT_number 156
_cell_length_a 4.6553
_cell_length_b 4.6553
_cell_length_c 3.7771
_cell_angle_alpha 90.00
_cell_angle_beta 90.00
_cell_angle_gamma 120.00
loop_
_space_group_symop_operation_xyz
'x,y,z'
'-y,x-y,z'
'-x+y,-x,z'
'-y,-x,z'
'-x+y,y,z'
'x,x-y,z'
loop_
_atom_site_label
_atom_site_type_symbol
_atom_site_fract_x
_atom_site_fract_y
_atom_site_fract_z
_atom_site_occupancy
Zn1 Zn 0.0000 0.0000 0.0000 1
In1 In 0.6667 0.3333 0.6367 1
Hg1 Hg 0.3333 0.6667 0.2111 1
```

---

[2]
LiB2H2: computed powder X-ray diffraction pattern (copper Kα), based on a structure optimized by DFT (GGA-PBE).
Intensities are scaled so that the largest is 1000.

Main lines, in order of rising 2θ (10° ≤ 2θ ≤ 80°):
index, d (Å), 2θ/deg, I_rel
0 0 1, 6.181, 14.33, 1000
0 1 0, 4.071, 21.83, 663
0 1 1, 3.948, 22.52, 550
0 1 2, 2.883, 31.02, 66
1 0 -1, 2.682, 33.41, 50
1 0 1, 2.672, 33.54, 73
1 1 0, 2.436, 36.90, 47
0 2 1, 2.118, 42.68, 140
0 1 3, 2.091, 43.26, 66
0 2 2, 1.974, 45.98, 84
1 1 -2, 1.777, 51.44, 53
2 0 0, 1.485, 62.56, 71

Crystal structure
```
data_LiB2H2
_chemical_formula_sum 'Li2 B4 H4'
_space_group_name_H-M_alt 'P 1'
_space_group_IT_number 1
_cell_length_a 2.9712
_cell_length_b 4.2442
_cell_length_c 6.4413
_cell_angle_alpha 73.67
_cell_angle_beta 89.75
_cell_angle_gamma 88.19
loop_
_space_group_symop_operation_xyz
'x,y,z'
loop_
_atom_site_label
_atom_site_type_symbol
_atom_site_fract_x
_atom_site_fract_y
_atom_site_fract_z
_atom_site_occupancy
Li1 Li 0.0000 0.0000 0.0000 1
Li2 Li 0.0554 0.6629 0.4713 1
B1 B 0.0489 0.4346 0.1711 1
B2 B 0.0521 0.5513 0.8824 1
B3 B 0.5499 0.5122 0.0483 1
B4 B 0.5534 0.2731 0.3223 1
H1 H 0.0377 0.8321 0.7595 1
H2 H 0.0660 0.3607 0.7678 1
H3 H 0.5561 0.3646 0.4883 1
H4 H 0.5568 0.9659 0.3863 1
```

---

> Which formula does entry 2 have?

LiB2H2